Starting from a structure optimized by DFT (GGA-PBE), the powder diffractogram of CeB2Os2 was calculated for Cu Kα.

Principal peaks in the range 10 to 90 degrees two-theta, in order of falling intensity:
2θ (°), Rel. int.
33.59, 1000
31.49, 964
42.67, 462
40.09, 322
50.48, 262
58.74, 255
18.82, 196
70.62, 163
59.99, 152
68.72, 139

Crystal structure
Lattice parameters (Å, degrees): 6.751 6.028 5.587 70.96 57.56 51.47
Sites, in units of the cell vectors:
Ce  0.125  0.125  0.125
Ce  0.875  0.875  0.875
B  0.190  0.560  0.190
B  0.440  0.810  0.440
B  0.560  0.190  0.560
B  0.810  0.440  0.810
Os  0.237  0.237  0.513
Os  0.487  0.487  0.763
Os  0.513  0.513  0.237
Os  0.763  0.763  0.487